For VPb2Se2ClO8, DFT lattice parameters and positions (PBE+U) gives the simulated X-ray powder pattern in this record (Cu Kα).
Lines closer than 0.1° are merged.

Most intense lines, 15 to 90 degrees two-theta, by angle:
| 2θ (°) | I_rel |
| --- | --- |
| 23.51 | 58.1 |
| 23.67 | 70.5 |
| 26.44 | 41.5 |
| 27.97 | 100.0 |
| 29.44 | 52.3 |
| 32.22 | 67.2 |
| 33.39 | 48.7 |
| 46.65 | 40.8 |

Structural model:
```
data_VPb2Se2ClO8
_space_group_name_H-M_alt 'P 1 21 1'
_space_group_IT_number 4
_cell_length_a 8.574
_cell_length_b 5.368
_cell_length_c 10.929
_cell_angle_alpha 90.00
_cell_angle_beta 112.28
_cell_angle_gamma 90.00
loop_
_space_group_symop_operation_xyz
'x,y,z'
'-x,y+1/2,-z'
loop_
_atom_site_label
_atom_site_type_symbol
_atom_site_fract_x
_atom_site_fract_y
_atom_site_fract_z
V1 V 0.149 0.000 0.059
Pb1 Pb 0.197 0.013 0.496
Pb2 Pb 0.324 0.471 0.809
Se1 Se 0.011 0.021 0.729
Se2 Se 0.369 0.510 0.193
Cl1 Cl 0.362 0.527 0.547
O1 O 0.028 0.314 0.035
O2 O 0.060 0.244 0.631
O3 O 0.079 0.762 0.669
O4 O 0.169 0.949 0.214
O5 O 0.176 0.093 0.875
O6 O 0.314 0.731 0.061
O7 O 0.366 0.232 0.110
O8 O 0.418 0.061 0.742
```